No. 1
# Ho2Cu2Ni
Calculated powder X-ray diffraction pattern, Cu Kα (weighted mean of Kα1 and Kα2). Input: a DFT-relaxed cell (PBE, Alexandria).
Neutral-atom scattering factors, no anomalous dispersion.

Structure:
Lattice parameters (Å, degrees): 5.2810 5.2810 10.6843 110.96 110.96 42.94
Fractional positions:
Ho1 0.0081 0.0081 0.3395
Ho2 0.1931 0.1931 0.1205
Ho3 0.8069 0.8069 0.8795
Ho4 0.9919 0.9919 0.6605
Cu1 0.3447 0.3447 0.4487
Cu2 0.4778 0.4778 0.1108
Cu3 0.5222 0.5222 0.8892
Cu4 0.6553 0.6553 0.5513
Ni1 0.2921 0.2921 0.6781
Ni2 0.7079 0.7079 0.3219

Top 6 peaks for 2θ = 10–90°, low angle first:
33.2°, I 64
34.2°, I 100
36.0°, I 60
39.4°, I 37
41.6°, I 59
47.0°, I 46


No. 2
# Ac12LaCo5
Calculated powder X-ray diffraction pattern, Cu Kα (weighted mean of Kα1 and Kα2). Input: a DFT-relaxed cell (PBE, Alexandria).
Neutral-atom scattering factors, no anomalous dispersion.

Structure:
Lattice parameters (Å, degrees): 7.3971 7.4069 13.8503 84.98 79.92 60.05
Fractional positions:
Ac1 0.0000 0.0000 0.0000
Ac2 0.0052 0.3277 0.2549
Ac3 0.0886 0.4185 0.7329
Ac4 0.2642 0.0002 0.4792
Ac5 0.3327 0.6729 0.2549
Ac6 0.4178 0.4181 0.9998
Ac7 0.5070 0.5817 0.7334
Ac8 0.5918 0.3276 0.4780
Ac9 0.6602 0.0002 0.2537
Ac10 0.8359 0.5821 0.9993
Ac11 0.9191 0.6729 0.4779
Ac12 0.9250 0.9999 0.7331
La1 0.4609 0.0019 0.8661
Co1 0.1291 0.6672 0.8664
Co2 0.2965 0.3318 0.3665
Co3 0.6280 0.6687 0.3665
Co4 0.7968 0.3317 0.8664
Co5 0.9622 0.0003 0.3664

Top 6 peaks for 2θ = 10–90°, low angle first:
26.1°, I 34
26.4°, I 100
28.5°, I 59
32.6°, I 35
42.3°, I 23
44.9°, I 24


What did the first record say?
# Ho2Cu2Ni
Calculated powder X-ray diffraction pattern, Cu Kα (weighted mean of Kα1 and Kα2). Input: a DFT-relaxed cell (PBE, Alexandria).
Neutral-atom scattering factors, no anomalous dispersion.

Structure:
Lattice parameters (Å, degrees): 5.2810 5.2810 10.6843 110.96 110.96 42.94
Fractional positions:
Ho1 0.0081 0.0081 0.3395
Ho2 0.1931 0.1931 0.1205
Ho3 0.8069 0.8069 0.8795
Ho4 0.9919 0.9919 0.6605
Cu1 0.3447 0.3447 0.4487
Cu2 0.4778 0.4778 0.1108
Cu3 0.5222 0.5222 0.8892
Cu4 0.6553 0.6553 0.5513
Ni1 0.2921 0.2921 0.6781
Ni2 0.7079 0.7079 0.3219

Top 6 peaks for 2θ = 10–90°, low angle first:
33.2°, I 64
34.2°, I 100
36.0°, I 60
39.4°, I 37
41.6°, I 59
47.0°, I 46